(1)
Diffraction record for Li4Mg5Ga2. The XRD peak list is computed, not measured: it uses the PBE geometry in Alexandria and Cu Kα X-rays.

The 10 most intense peaks (2θ from 10° to 90°), in order of rising 2θ:
2theta	I (rel.)
15.93	65
19.44	18
19.75	61
25.48	64
37.41	54
37.66	100
38.05	92
38.44	44
54.51	16
54.71	35

Crystal structure
Cell: 8.3382 8.3382 5.5634 Å, 90.09 90.09 32.63°
Atoms (fractional coordinates):
1 Li 0.0480 0.0480 0.1996
2 Li 0.3228 0.3228 0.6103
3 Li 0.6772 0.6772 0.3897
4 Li 0.9520 0.9520 0.8004
5 Mg 0.1326 0.1326 0.6824
6 Mg 0.2321 0.2321 0.1595
7 Mg 0.5000 0.5000 0.5000
8 Mg 0.7679 0.7679 0.8405
9 Mg 0.8674 0.8674 0.3176
10 Ga 0.4127 0.4127 0.0306
11 Ga 0.5873 0.5873 0.9694

(2)
Diffraction record for Li4MgGa4. The XRD peak list is computed, not measured: it uses the PBE geometry in Alexandria and Cu Kα X-rays.

The 10 most intense peaks (2θ from 10° to 90°), in order of rising 2θ:
2theta	I (rel.)
14.36	30
20.37	43
24.28	31
31.89	25
38.14	100
43.61	23
44.06	32
44.86	16
64.69	20
77.06	22

Crystal structure
Cell: 6.4889 6.4889 6.4889 Å, 95.56 95.56 143.72°
Atoms (fractional coordinates):
1 Li 0.0000 0.3227 0.3227
2 Li 0.0000 0.6773 0.6773
3 Li 0.3227 0.0000 0.3227
4 Li 0.6773 0.0000 0.6773
5 Mg 0.0000 0.0000 0.0000
6 Ga 0.3260 0.3260 0.6520
7 Ga 0.3260 0.6740 0.0000
8 Ga 0.6740 0.3260 0.0000
9 Ga 0.6740 0.6740 0.3480

(3)
Diffraction record for LiMg6GaO8. The XRD peak list is computed, not measured: it uses the PBE geometry in Alexandria and Cu Kα X-rays.

The 10 most intense peaks (2θ from 10° to 90°), in order of rising 2θ:
2theta	I (rel.)
21.11	24
23.57	41
29.82	20
36.83	25
42.38	51
42.98	100
49.60	11
61.95	57
62.41	28
78.35	26

Crystal structure
Cell: 4.2085 4.2085 8.5317 Å, 90.00 90.00 90.00°
Atoms (fractional coordinates):
1 Li 0.0000 0.0000 0.0000
2 Mg 0.0000 0.0000 0.5000
3 Mg 0.0000 0.5000 0.2454
4 Mg 0.0000 0.5000 0.7546
5 Mg 0.5000 0.0000 0.2454
6 Mg 0.5000 0.0000 0.7546
7 Mg 0.5000 0.5000 0.5000
8 Ga 0.5000 0.5000 0.0000
9 O 0.0000 0.0000 0.2572
10 O 0.0000 0.0000 0.7428
11 O 0.0000 0.5000 0.0000
12 O 0.0000 0.5000 0.5000
13 O 0.5000 0.0000 0.0000
14 O 0.5000 0.0000 0.5000
15 O 0.5000 0.5000 0.2370
16 O 0.5000 0.5000 0.7630

(4)
Diffraction record for LiMgGa2Pd2. The XRD peak list is computed, not measured: it uses the PBE geometry in Alexandria and Cu Kα X-rays.

The 10 most intense peaks (2θ from 10° to 90°), in order of rising 2θ:
2theta	I (rel.)
23.20	65
33.33	19
40.76	100
41.01	94
53.63	30
59.20	31
74.20	16
74.36	31
74.87	20
88.94	13

Crystal structure
Cell: 4.4275 4.4275 5.3759 Å, 90.00 90.00 120.00°
Atoms (fractional coordinates):
1 Li 0.0000 0.0000 0.0000
2 Mg 0.0000 0.0000 0.5000
3 Ga 0.3333 0.6667 0.8186
4 Ga 0.6667 0.3333 0.1814
5 Pd 0.3333 0.6667 0.3072
6 Pd 0.6667 0.3333 0.6928

(5)
Diffraction record for Li2MgGa2Rh2. The XRD peak list is computed, not measured: it uses the PBE geometry in Alexandria and Cu Kα X-rays.

The 10 most intense peaks (2θ from 10° to 90°), in order of rising 2θ:
2theta	I (rel.)
24.49	21
25.76	61
25.86	30
33.56	16
40.83	25
40.99	49
42.30	100
44.93	24
60.21	16
77.35	15

Crystal structure
Cell: 4.2723 4.2723 6.8760 Å, 108.37 108.37 60.07°
Atoms (fractional coordinates):
1 Li 0.0840 0.0840 0.2534
2 Li 0.9160 0.9160 0.7466
3 Mg 0.5000 0.5000 0.5000
4 Ga 0.3636 0.3636 0.0893
5 Ga 0.6364 0.6364 0.9107
6 Rh 0.2323 0.2323 0.6940
7 Rh 0.7677 0.7677 0.3060

(6)
Diffraction record for LiMg2Zn2Ga2. The XRD peak list is computed, not measured: it uses the PBE geometry in Alexandria and Cu Kα X-rays.

The 10 most intense peaks (2θ from 10° to 90°), in order of rising 2θ:
2theta	I (rel.)
11.87	23
23.53	21
23.87	43
24.53	46
39.90	79
40.74	100
47.77	39
55.58	22
58.34	25
73.59	24

Crystal structure
Cell: 7.8828 7.8828 7.8828 Å, 32.63 32.63 32.63°
Atoms (fractional coordinates):
1 Li 0.0000 0.0000 0.0000
2 Mg 0.1284 0.1284 0.1284
3 Mg 0.8716 0.8716 0.8716
4 Zn 0.3882 0.3882 0.3882
5 Zn 0.6118 0.6118 0.6118
6 Ga 0.2595 0.2595 0.2595
7 Ga 0.7405 0.7405 0.7405

(7)
Diffraction record for Li2MnGa6. The XRD peak list is computed, not measured: it uses the PBE geometry in Alexandria and Cu Kα X-rays.

The 10 most intense peaks (2θ from 10° to 90°), in order of rising 2θ:
2theta	I (rel.)
14.35	55
21.95	58
26.32	52
29.45	84
34.41	44
36.61	100
39.91	100
44.76	60
47.61	67
47.72	66

Crystal structure
Cell: 6.0652 4.0497 6.8699 Å, 90.00 116.05 90.00°
Atoms (fractional coordinates):
1 Li 0.2062 0.0000 0.4129
2 Li 0.7938 0.0000 0.5871
3 Mn 0.0000 0.5000 0.0000
4 Ga 0.1414 0.5000 0.7061
5 Ga 0.2725 0.0000 0.9991
6 Ga 0.4343 0.5000 0.2937
7 Ga 0.5657 0.5000 0.7063
8 Ga 0.7275 0.0000 0.0009
9 Ga 0.8586 0.5000 0.2939